This entry pairs a crystal structure of CaTiO2 with its computed PXRD pattern. Radiation: Cu Kα. Structure: a DFT-relaxed cell (PBE, the Materials Project).
Peak positions follow from Bragg's law for the DFT cell and can differ from measured ones.

a = 2.9872 Å, b = 8.4375 Å, c = 9.0411 Å
α = 90.92°, β = 99.24°, γ = 100.19°
Space group P-1 (No. 2)
One atom of each set of equivalent atoms:
Ca  0.0468  0.4411  0.2628 x2
Ca  0.0627  0.2364  0.9284 x2
Ti  0.3319  0.1927  0.5872 x2
Ti  0.4808  0.9172  0.7172 x2
O  0.1250  0.3511  0.7031 x2
O  0.1568  0.7530  0.5561 x2
O  0.1935  0.2303  0.1848 x2
O  0.2615  0.0774  0.7982 x2

Top 6 peaks for 5° ≤ 2θ ≤ 70°, low angle first:
10.66 deg, I = 58, hkl 0 1 0; 19.92 deg, I = 67, hkl 0 0 2; 28.72 deg, I = 67, hkl 0 2 -2; 30.09 deg, I = 53, hkl 0 2 2; 32.44 deg, I = 52, hkl 0 1 3; 34.58 deg, I = 100, hkl 1 1 0